The following is a calculated powder XRD pattern of V3Cu2TeP6O24. It was derived from the PBE+U geometry in the Materials Project, using Cu Kα X-rays.
Peak positions follow from Bragg's law for the DFT cell and can differ from measured ones.

Peak list (12 most intense, 2θ = 15–90°, sorted by position)
Position (°2θ)  I_rel
20.38  100
23.93  81
25.02  15
31.64  15
32.44  74
35.70  36
41.39  13
46.54  30
49.00  25
55.75  15
55.84  25
62.08  20

Structure:
a b c (Å): 8.7320 8.7320 8.7320
angles (deg): 59.85 59.85 59.85
Fractional coordinates of all 36 atoms:
V (0.0000, 0.0000, 0.0000)
V (0.2136, 0.2136, 0.2136)
V (0.7139, 0.7139, 0.7139)
Cu (0.3536, 0.3536, 0.3536)
Cu (0.8568, 0.8568, 0.8568)
Te (0.5002, 0.5002, 0.5002)
P (0.0966, 0.8230, 0.3957)
P (0.3108, 0.6077, 0.9088)
P (0.3957, 0.0966, 0.8230)
P (0.6077, 0.9088, 0.3108)
P (0.8230, 0.3957, 0.0966)
P (0.9088, 0.3108, 0.6077)
O (0.0356, 0.8649, 0.2380)
O (0.0962, 0.2945, 0.4394)
O (0.1212, 0.7732, 0.9296)
O (0.1587, 0.9773, 0.3608)
O (0.2380, 0.0356, 0.8649)
O (0.2590, 0.6289, 0.4055)
O (0.2945, 0.4394, 0.0962)
O (0.3304, 0.5562, 0.7532)
O (0.3608, 0.1587, 0.9773)
O (0.4055, 0.2590, 0.6289)
O (0.4394, 0.0962, 0.2945)
O (0.4793, 0.6561, 0.8615)
O (0.5562, 0.7532, 0.3304)
O (0.5879, 0.9331, 0.8030)
O (0.6289, 0.4055, 0.2590)
O (0.6561, 0.8615, 0.4793)
O (0.7532, 0.3304, 0.5562)
O (0.7732, 0.9296, 0.1212)
O (0.8030, 0.5879, 0.9331)
O (0.8615, 0.4793, 0.6561)
O (0.8649, 0.2380, 0.0356)
O (0.9296, 0.1212, 0.7732)
O (0.9331, 0.8030, 0.5879)
O (0.9773, 0.3608, 0.1587)